Computed powder XRD pattern
Compound: Mn3O2F4
Radiation: CuKα
Structure: DFT lattice parameters and positions (GGA+U)
Kinematic intensities with the Lorentz-polarization factor, no thermal factor.

The 12 most intense peaks (15° ≤ 2θ ≤ 90°), low angle first:
2θ 26.69, rel. 100, hkl 0 1 1; 2θ 33.25, rel. 32, hkl 3 1 0; 2θ 33.50, rel. 29, hkl 3 0 1; 2θ 38.57, rel. 28, hkl 3 1 1; 2θ 51.28, rel. 31, hkl 3 2 1; 2θ 51.80, rel. 30, hkl 3 1 2; 2θ 54.98, rel. 17, hkl 0 2 2; 2θ 56.40, rel. 12, hkl 6 0 0; 2θ 63.46, rel. 14, hkl 6 1 1; 2θ 65.19, rel. 9, hkl 3 3 0; 2θ 66.54, rel. 12, hkl 3 0 3; 2θ 82.69, rel. 8, hkl 6 2 2

Atomic structure:
```
18
Lattice="9.7884 0.0000 0.0000 0.0000 4.7773 0.0000 0.0000 0.0000 4.6715" Properties=species:S:1:pos:R:3 pbc="T T T"
Mn 0.0000 1.1686 0.0000
Mn 1.7049 3.3933 2.1860
Mn 3.1893 1.3840 4.5217
Mn 4.8942 3.6088 2.3357
Mn 6.5991 1.3840 4.5217
Mn 8.0835 3.3933 2.1860
O 1.6638 2.1116 0.7538
O 3.2304 2.6658 3.0896
O 6.5580 2.6658 3.0896
O 8.1246 2.1116 0.7538
F 0.0000 2.4598 3.0632
F 0.0000 4.3143 1.3463
F 1.5789 0.0948 3.5605
F 3.3153 4.6825 1.2248
F 4.8942 0.4630 3.6821
F 4.8942 2.3175 0.7274
F 6.4731 4.6825 1.2248
F 8.2095 0.0948 3.5605
```